(1)
The following is a computed XRD peak list of Cu3Mo. It was derived from a structure optimized by DFT (GGA-PBE), using Cu Kα (weighted mean of Kα1 and Kα2).
Peak positions follow from Bragg's law for the DFT cell and can differ from measured ones.

```
data_Cu3Mo
_cell_length_a 8.043
_cell_length_b 7.933
_cell_length_c 3.307
_cell_angle_alpha 90.00
_cell_angle_beta 90.00
_cell_angle_gamma 90.00
_space_group_name_H-M_alt 'C m c m'
_space_group_IT_number 63
_space_group_name_Hall '-C 2c 2'
loop_
_atom_site_label
_atom_site_type_symbol
_atom_site_fract_x
_atom_site_fract_y
_atom_site_fract_z
_atom_site_occupancy
Cu1 Cu 0.000 0.118 0.250 1
Cu2 Cu 0.238 0.128 0.750 1
Mo1 Mo 0.000 0.385 0.750 1
```

Peak list (6 most intense, 2θ from 10° to 90°, in order of rising 2θ)
2θ = 42.07°, rel. 100.0, hkl 2 2 1
2θ = 45.09°, rel. 19.8, hkl 4 0 0
2θ = 45.75°, rel. 19.2, hkl 0 4 0
2θ = 66.19°, rel. 11.3, hkl 4 4 0
2θ = 81.13°, rel. 12.1, hkl 6 2 1
2θ = 82.08°, rel. 11.9, hkl 2 6 1

(2)
The following is a computed XRD peak list of Cu3Mo. It was derived from a structure optimized by DFT (GGA-PBE), using Cu Kα (weighted mean of Kα1 and Kα2).
Peak positions follow from Bragg's law for the DFT cell and can differ from measured ones.

```
data_Cu3Mo
_cell_length_a 5.617
_cell_length_b 7.461
_cell_length_c 2.536
_cell_angle_alpha 90.00
_cell_angle_beta 90.00
_cell_angle_gamma 90.00
_space_group_name_H-M_alt 'C m m m'
_space_group_IT_number 65
_space_group_name_Hall '-C 2 2'
loop_
_atom_site_label
_atom_site_type_symbol
_atom_site_fract_x
_atom_site_fract_y
_atom_site_fract_z
_atom_site_occupancy
Cu1 Cu 0.000 0.000 0.000 1
Cu2 Cu 0.250 0.250 0.500 1
Mo1 Mo 0.000 0.500 0.000 1
```

Peak list (6 most intense, 2θ from 10° to 90°, in order of rising 2θ)
2θ = 40.19°, rel. 100.0, hkl 2 2 0
2θ = 43.13°, rel. 81.1, hkl 0 2 1
2θ = 48.35°, rel. 57.1, hkl 2 0 1
2θ = 48.83°, rel. 27.7, hkl 0 4 0
2θ = 71.17°, rel. 33.4, hkl 2 4 1
2θ = 82.70°, rel. 22.0, hkl 4 2 1

(3)
The following is a computed XRD peak list of Cu3Mo. It was derived from a structure optimized by DFT (GGA-PBE), using Cu Kα (weighted mean of Kα1 and Kα2).
Peak positions follow from Bragg's law for the DFT cell and can differ from measured ones.

```
data_Cu3Mo
_cell_length_a 2.512
_cell_length_b 4.012
_cell_length_c 5.348
_cell_angle_alpha 90.00
_cell_angle_beta 103.11
_cell_angle_gamma 90.00
_space_group_name_H-M_alt 'P 1 2/m 1'
_space_group_IT_number 10
_space_group_name_Hall '-P 2y'
loop_
_atom_site_label
_atom_site_type_symbol
_atom_site_fract_x
_atom_site_fract_y
_atom_site_fract_z
_atom_site_occupancy
Cu1 Cu 0.000 0.000 0.000 1
Cu2 Cu 0.424 0.500 0.243 1
Mo1 Mo 0.000 0.000 0.500 1
```

Peak list (6 most intense, 2θ from 10° to 90°, in order of rising 2θ)
2θ = 41.33°, rel. 100.0, hkl 0 1 2
2θ = 43.32°, rel. 78.7, hkl 1 1 0
2θ = 44.70°, rel. 37.1, hkl 1 0 -2
2θ = 45.20°, rel. 38.3, hkl 0 2 0
2θ = 57.21°, rel. 15.7, hkl 1 0 2
2θ = 65.45°, rel. 22.1, hkl 1 2 -2

(4)
The following is a computed XRD peak list of Cu3Mo4. It was derived from a structure optimized by DFT (GGA-PBE), using Cu Kα (weighted mean of Kα1 and Kα2).
Peak positions follow from Bragg's law for the DFT cell and can differ from measured ones.

```
data_Cu3Mo4
_cell_length_a 4.8175
_cell_length_b 4.8175
_cell_length_c 4.9102
_cell_angle_alpha 90.00
_cell_angle_beta 90.00
_cell_angle_gamma 120.00
_space_group_name_H-M_alt 'P 6/m m m'
_space_group_IT_number 191
_space_group_name_Hall '-P 6 2'
loop_
_atom_site_label
_atom_site_type_symbol
_atom_site_fract_x
_atom_site_fract_y
_atom_site_fract_z
_atom_site_occupancy
Cu1 Cu 0.0000 0.5000 0.0000 1
Mo1 Mo 0.0000 0.0000 0.2629 1
Mo2 Mo 0.3333 0.6667 0.5000 1
```

Peak list (6 most intense, 2θ from 10° to 90°, in order of rising 2θ)
2θ = 37.33°, rel. 59.2, hkl 1 1 0
2θ = 41.77°, rel. 65.1, hkl 1 1 1
2θ = 42.73°, rel. 100.0, hkl 1 0 2
2θ = 43.38°, rel. 34.5, hkl 2 0 0
2θ = 47.35°, rel. 47.4, hkl 2 0 1
2θ = 71.05°, rel. 42.0, hkl 2 1 2